Simulated XRD peak list
Compound: Tl2VBiO4
Radiation: Cu Kα, 1.54184 Å
Structure: a cell relaxed with PBE+U

Main lines, by intensity (2θ = 10–90°):
Position (°2θ)	d (Å)	I (rel.)
30.16	2.963	100
28.49	3.133	41
28.74	3.106	38
26.51	3.363	23
24.89	3.577	22
38.20	2.356	19

a b c (Å): 7.6192 7.1540 6.2651
angles (deg): 90.00 90.00 90.00
Sites, in units of the cell vectors:
Tl 0.2439 0.1618 0.0000
Tl 0.2561 0.8382 0.5000
Tl 0.7439 0.8382 0.5000
Tl 0.7561 0.1618 0.0000
V 0.0000 0.6318 0.0210
V 0.5000 0.3682 0.5210
Bi 0.0000 0.2710 0.4373
Bi 0.5000 0.7290 0.9373
O 0.0000 0.4294 0.8795
O 0.0000 0.5579 0.2972
O 0.1897 0.7618 0.9592
O 0.3103 0.2382 0.4592
O 0.5000 0.4421 0.7972
O 0.5000 0.5706 0.3795
O 0.6897 0.2382 0.4592
O 0.8103 0.7618 0.9592